Calculated X-ray diffraction stick pattern
Compound: Sc5Zn2Cu12
Radiation: copper Kα
Structure: DFT lattice parameters and positions (GGA-PBE)
Lines closer than 0.1° are merged.

Atomic structure:
a = 7.618 Å, b = 7.618 Å, c = 6.354 Å
α = 91.16°, β = 91.16°, γ = 51.86°
Sites, in units of the cell vectors:
Sc  0.000  0.000  0.000
Sc  0.245  0.245  0.943
Sc  0.301  0.301  0.463
Sc  0.699  0.699  0.537
Sc  0.755  0.755  0.057
Zn  0.293  0.707  0.500
Zn  0.707  0.293  0.500
Cu  0.044  0.669  0.748
Cu  0.110  0.110  0.597
Cu  0.196  0.589  0.153
Cu  0.331  0.956  0.252
Cu  0.411  0.804  0.847
Cu  0.446  0.446  0.828
Cu  0.554  0.554  0.172
Cu  0.589  0.196  0.153
Cu  0.669  0.044  0.748
Cu  0.804  0.411  0.847
Cu  0.890  0.890  0.403
Cu  0.956  0.331  0.252

Peak list (10 most intense, 15 to 90 degrees two-theta, most intense first)
- 2θ = 40.1°, I = 100
- 2θ = 41.6°, I = 87
- 2θ = 38.5°, I = 76
- 2θ = 39.1°, I = 47
- 2θ = 76.3°, I = 45
- 2θ = 47.6°, I = 43
- 2θ = 44.5°, I = 41
- 2θ = 43.6°, I = 36
- 2θ = 38.2°, I = 35
- 2θ = 45.6°, I = 33